Record 1
The following is a calculated powder diffraction line list of Tb2Dy2Se7. It was derived from DFT lattice parameters and positions (PBE), using λ = 1.5418 Å (Cu Kα).
Intensities are scaled so that the largest is 100.

Structure:
```
Tb2Dy2Se7
1.0
5.0070 -5.1620 0.0000
5.0070 5.1620 0.0000
0.0000 0.0000 6.2820
Tb Dy Se
2 2 7
Direct
0.2284 0.2284 0.0000
0.7716 0.7716 0.0000
0.2363 0.7637 0.5000
0.7637 0.2363 0.5000
0.0000 0.0000 0.2542
0.0000 0.0000 0.7458
0.0000 0.5000 0.2413
0.0000 0.5000 0.7587
0.5000 0.0000 0.2413
0.5000 0.0000 0.7587
0.5000 0.5000 0.5000
```

Main lines, low angle first (5° ≤ 2θ ≤ 70°):
2theta  I (rel.)
22.3  53.5
22.7  97.0
34.8  42.9
35.9  37.6
38.0  100.0
41.9  36.9
50.8  26.8
64.5  19.6

---

Record 2
The following is a calculated powder diffraction line list of Cu2SnSe4. It was derived from DFT lattice parameters and positions (PBE), using λ = 1.5418 Å (Cu Kα).
Intensities are scaled so that the largest is 100.

Structure:
```
Cu2SnSe4
1.0
7.5990 0.0000 0.0000
0.0000 7.5990 0.0000
0.0000 0.0000 10.7957
Cu Sn Se
8 4 16
Direct
0.0000 0.2451 0.0000
0.0000 0.7549 0.5000
0.2451 0.0000 0.7500
0.2475 0.2475 0.3750
0.2475 0.7525 0.1250
0.7525 0.2475 0.6250
0.7525 0.7525 0.8750
0.7549 0.0000 0.2500
0.2325 0.5000 0.7500
0.5000 0.2325 0.0000
0.5000 0.7675 0.5000
0.7675 0.5000 0.2500
0.0010 0.2308 0.2363
0.0010 0.7692 0.2637
0.2308 0.0010 0.5137
0.2308 0.9990 0.9863
0.2366 0.4818 0.0057
0.2366 0.5182 0.4943
0.4818 0.2366 0.7443
0.4818 0.7634 0.7557
0.5182 0.2366 0.2557
0.5182 0.7634 0.2443
0.7634 0.4818 0.9943
0.7634 0.5182 0.5057
0.7692 0.0010 0.4863
0.7692 0.9990 0.0137
0.9990 0.2308 0.7637
0.9990 0.7692 0.7363
```

Main lines, low angle first (5° ≤ 2θ ≤ 70°):
2theta  I (rel.)
14.3  23.6
27.5  88.8
33.2  42.3
33.4  82.3
43.8  29.1
47.8  100.0
47.9  49.0
59.5  27.5

---

Record 3
The following is a calculated powder diffraction line list of DyEr2OsO8. It was derived from DFT lattice parameters and positions (PBE), using λ = 1.5418 Å (Cu Kα).
Intensities are scaled so that the largest is 100.

Structure:
```
DyEr2OsO8
1.0
3.5309 -3.5519 0.0000
3.5309 3.5519 0.0000
0.0000 0.0000 6.7323
Dy Er Os O
1 2 1 8
Direct
0.0000 0.0000 0.0000
0.5000 0.5000 0.2461
0.5000 0.5000 0.7539
0.0000 0.0000 0.5000
0.1847 0.8153 0.2900
0.1847 0.8153 0.7100
0.2664 0.2664 0.5000
0.3090 0.3090 0.0000
0.6910 0.6910 0.0000
0.7336 0.7336 0.5000
0.8153 0.1847 0.2900
0.8153 0.1847 0.7100
```

Main lines, low angle first (5° ≤ 2θ ≤ 70°):
2theta  I (rel.)
25.1  56.4
25.2  53.5
32.0  100.0
35.9  30.2
48.8  39.1
48.9  36.5
60.9  18.6
62.1  21.2

---

Record 4
The following is a calculated powder diffraction line list of NdTiCdSbO7. It was derived from DFT lattice parameters and positions (PBE), using λ = 1.5418 Å (Cu Kα).
Intensities are scaled so that the largest is 100.

Structure:
```
NdTiCdSbO7
1.0
-3.6353 3.7665 5.1724
3.6353 -3.7665 5.1724
3.6353 3.7665 -5.1724
Nd Ti Cd Sb O
2 2 2 2 14
Direct
0.0000 0.0000 0.0000
0.5000 0.0000 0.5000
0.5000 0.0000 0.0000
0.5000 0.5000 0.5000
0.0000 0.0000 0.5000
0.0000 0.5000 0.0000
0.0000 0.5000 0.5000
0.5000 0.5000 0.0000
0.1189 0.8689 0.2500
0.1720 0.4220 0.7500
0.1811 0.4206 0.3567
0.1811 0.8245 0.7606
0.4276 0.1776 0.2500
0.4361 0.1755 0.8567
0.4361 0.5794 0.2606
0.5639 0.4206 0.7394
0.5639 0.8245 0.1433
0.5724 0.8224 0.7500
0.8189 0.1755 0.2394
0.8189 0.5794 0.6433
0.8280 0.5780 0.2500
0.8811 0.1311 0.7500
```

Main lines, low angle first (5° ≤ 2θ ≤ 70°):
2theta  I (rel.)
29.3  100.0
30.0  90.4
34.3  40.0
34.7  19.1
48.3  15.0
49.6  57.8
58.0  27.2
59.2  26.0

---

Record 5
The following is a calculated powder diffraction line list of KTl3Cd3. It was derived from DFT lattice parameters and positions (PBE), using λ = 1.5418 Å (Cu Kα).
Intensities are scaled so that the largest is 100.

Structure:
```
KTl3Cd3
1.0
4.4472 2.5676 6.3401
-4.4472 2.5676 6.3401
0.0000 -5.1352 6.3401
K Tl Cd
2 6 6
Direct
0.1269 0.1269 0.1269
0.8731 0.8731 0.8731
0.1725 0.5609 0.1728
0.1728 0.1725 0.5609
0.4391 0.8272 0.8275
0.5609 0.1728 0.1725
0.8272 0.8275 0.4391
0.8275 0.4391 0.8272
0.1970 0.5598 0.5576
0.4402 0.4424 0.8030
0.4424 0.8030 0.4402
0.5576 0.1970 0.5598
0.5598 0.5576 0.1970
0.8030 0.4402 0.4424
```

Main lines, low angle first (5° ≤ 2θ ≤ 70°):
2theta  I (rel.)
12.4  32.1
14.0  39.9
29.9  100.0
31.1  56.8
35.0  43.2
36.2  27.2
37.8  62.0
62.7  31.1

---

Record 6
The following is a calculated powder diffraction line list of Pa2AsPbO8. It was derived from DFT lattice parameters and positions (PBE), using λ = 1.5418 Å (Cu Kα).
Intensities are scaled so that the largest is 100.

Structure:
```
Pa2AsPbO8
1.0
3.5132 -3.6545 0.0000
3.5132 3.6545 0.0000
0.0000 0.0000 7.1505
Pa As Pb O
2 1 1 8
Direct
0.0000 0.0000 0.2434
0.0000 0.0000 0.7566
0.5000 0.5000 0.0000
0.5000 0.5000 0.5000
0.1700 0.8300 0.5000
0.1927 0.8073 0.0000
0.3041 0.3041 0.2034
0.3041 0.3041 0.7966
0.6959 0.6959 0.2034
0.6959 0.6959 0.7966
0.8073 0.1927 0.0000
0.8300 0.1700 0.5000
```

Main lines, low angle first (5° ≤ 2θ ≤ 70°):
2theta  I (rel.)
24.4  54.4
25.4  48.1
30.6  100.0
35.4  29.8
46.9  40.0
48.1  35.3
60.7  21.2
63.7  12.7

---

Record 7
The following is a calculated powder diffraction line list of Pd6PtPb. It was derived from DFT lattice parameters and positions (PBE), using λ = 1.5418 Å (Cu Kα).
Intensities are scaled so that the largest is 100.

Structure:
```
Pd6PtPb
1.0
4.0491 0.0000 0.0000
0.0000 4.0491 0.0000
0.0000 0.0000 7.9705
Pd Pt Pb
6 1 1
Direct
0.0000 0.0000 0.0000
0.0000 0.0000 0.5000
0.0000 0.5000 0.2430
0.0000 0.5000 0.7570
0.5000 0.0000 0.2430
0.5000 0.0000 0.7570
0.5000 0.5000 0.0000
0.5000 0.5000 0.5000
```

Main lines, low angle first (5° ≤ 2θ ≤ 70°):
2theta  I (rel.)
22.0  5.9
22.3  2.9
31.5  5.1
38.7  100.0
44.8  33.2
45.5  15.6
65.2  10.8
65.8  20.7

---

Record 8
The following is a calculated powder diffraction line list of Tb3Mn2C6. It was derived from DFT lattice parameters and positions (PBE), using λ = 1.5418 Å (Cu Kα).
Intensities are scaled so that the largest is 100.

Structure:
```
Tb3Mn2C6
1.0
8.1205 0.0000 0.0000
-4.0603 7.0326 0.0000
0.0000 0.0000 4.9953
Tb Mn C
6 4 12
Direct
0.0651 0.3795 0.2500
0.3143 0.9349 0.2500
0.3795 0.3143 0.7500
0.6205 0.6857 0.2500
0.6857 0.0651 0.7500
0.9349 0.6205 0.7500
0.0000 0.0000 0.0000
0.0000 0.0000 0.5000
0.3333 0.6667 0.7500
0.6667 0.3333 0.2500
0.0362 0.2270 0.7500
0.1360 0.4213 0.7500
0.1907 0.9638 0.7500
0.2270 0.1907 0.2500
0.2853 0.8640 0.7500
0.4213 0.2853 0.2500
0.5787 0.7147 0.7500
0.7147 0.1360 0.2500
0.7730 0.8093 0.7500
0.8093 0.0362 0.2500
0.8640 0.5787 0.2500
0.9638 0.7730 0.2500
```

Main lines, low angle first (5° ≤ 2θ ≤ 70°):
2theta  I (rel.)
28.3  100.0
31.1  24.5
33.7  41.6
36.0  23.9
38.4  51.7
42.5  14.0
50.1  30.6
60.3  27.3

---

Record 9
The following is a calculated powder diffraction line list of Tm3Hg8. It was derived from DFT lattice parameters and positions (PBE), using λ = 1.5418 Å (Cu Kα).
Intensities are scaled so that the largest is 100.

Structure:
```
Tm3Hg8
1.0
2.5092 1.4487 11.8959
-2.5092 1.4487 11.8959
0.0000 -2.8974 11.8959
Tm Hg
3 8
Direct
0.0000 0.0000 0.0000
0.4506 0.4506 0.4506
0.5494 0.5494 0.5494
0.0875 0.0875 0.0875
0.1743 0.1743 0.1743
0.2710 0.2710 0.2710
0.3621 0.3621 0.3621
0.6379 0.6379 0.6379
0.7290 0.7290 0.7290
0.8257 0.8257 0.8257
0.9125 0.9125 0.9125
```

Main lines, low angle first (5° ≤ 2θ ≤ 70°):
2theta  I (rel.)
34.5  100.0
35.8  98.2
47.4  2.8
50.6  34.5
61.0  15.6
63.5  35.1
64.3  18.3
66.4  2.9

---

Record 10
The following is a calculated powder diffraction line list of Dy4Ho. It was derived from DFT lattice parameters and positions (PBE), using λ = 1.5418 Å (Cu Kα).
Intensities are scaled so that the largest is 100.

Structure:
```
Dy4Ho
1.0
3.0568 -1.7666 0.0000
3.0568 1.7666 0.0000
-2.0003 0.0000 14.3749
Dy Ho
4 1
Direct
0.1003 0.1003 0.3005
0.2996 0.2996 0.8999
0.7004 0.7004 0.1001
0.8997 0.8997 0.6995
0.5000 0.5000 0.5000
```

Main lines, low angle first (5° ≤ 2θ ≤ 70°):
2theta  I (rel.)
31.0  100.0
36.0  50.6
51.8  24.0
51.9  11.9
61.6  25.0
61.7  14.2
61.8  3.5
64.7  9.2

---

Record 11
The following is a calculated powder diffraction line list of YRe4B4. It was derived from DFT lattice parameters and positions (PBE), using λ = 1.5418 Å (Cu Kα).
Intensities are scaled so that the largest is 100.

Structure:
```
YRe4B4
1.0
5.3585 0.0000 0.0000
0.0000 5.3585 0.0000
0.0000 0.0000 7.7301
Y Re B
2 8 8
Direct
0.2500 0.7500 0.2500
0.7500 0.2500 0.7500
0.0006 0.7500 0.6090
0.2500 0.5006 0.8910
0.2500 0.9994 0.8910
0.4994 0.7500 0.6090
0.5006 0.2500 0.3910
0.7500 0.0006 0.1090
0.7500 0.4994 0.1090
0.9994 0.2500 0.3910
0.0816 0.2500 0.1090
0.2500 0.0816 0.6090
0.2500 0.4184 0.6090
0.4184 0.2500 0.1090
0.5816 0.7500 0.8910
0.7500 0.5816 0.3910
0.7500 0.9184 0.3910
0.9184 0.7500 0.8910
```

Main lines, low angle first (5° ≤ 2θ ≤ 70°):
2theta  I (rel.)
20.2  29.0
28.5  64.7
35.5  100.0
38.8  46.5
39.4  54.7
44.5  46.1
48.0  31.0
69.5  28.6

---

Record 12
The following is a calculated powder diffraction line list of ThUGe2Ir5. It was derived from DFT lattice parameters and positions (PBE), using λ = 1.5418 Å (Cu Kα).
Intensities are scaled so that the largest is 100.

Structure:
```
ThUGe2Ir5
1.0
4.0247 0.0000 0.0000
0.0000 4.0247 0.0000
0.0000 0.0000 11.5247
Th U Ge Ir
1 1 2 5
Direct
0.0000 0.0000 0.0000
0.0000 0.0000 0.5000
0.5000 0.5000 0.2120
0.5000 0.5000 0.7880
0.0000 0.5000 0.3362
0.0000 0.5000 0.6638
0.5000 0.0000 0.3362
0.5000 0.0000 0.6638
0.5000 0.5000 0.0000
```

Main lines, low angle first (5° ≤ 2θ ≤ 70°):
2theta  I (rel.)
23.2  68.8
27.0  41.7
32.4  62.5
35.2  100.0
39.4  44.5
44.8  92.3
45.1  81.8
67.4  39.7

---

- Number 8 is which compound?
  Tb3Mn2C6